Structure and simulated X-ray powder pattern of AcTbY2S6 (DFT lattice parameters and positions (PBE); Cu Ka).

Principal peaks in the range 10° ≤ 2θ ≤ 90°, most intense first:
2θ (°)  I/Imax
24.0  100
25.1  90
38.5  65
17.3  58
35.0  51
43.5  50
44.2  46
29.0  18
51.2  17
57.6  17

Crystal structure
a b c (Å): 7.444 7.444 7.444
angles (deg): 56.93 56.93 56.93
Fractional positions:
Ac 0.000 0.000 0.000
Tb 0.487 0.487 0.487
Y 0.283 0.283 0.283
Y 0.789 0.789 0.789
S 0.077 0.647 0.428
S 0.185 0.574 0.891
S 0.428 0.077 0.647
S 0.574 0.891 0.185
S 0.647 0.428 0.077
S 0.891 0.185 0.574

***

Structure and simulated X-ray powder pattern of AlNi4Pt (DFT lattice parameters and positions (PBE); Cu Ka).

Principal peaks in the range 10° ≤ 2θ ≤ 90°, most intense first:
2θ (°)  I/Imax
45.0  100
43.1  84
47.3  82
25.9  77
44.5  58
35.4  53
20.1  50
47.1  47
32.9  43
73.1  36

Crystal structure
a b c (Å): 5.181 5.181 6.478
angles (deg): 101.81 101.81 59.41
Fractional positions:
Al 0.136 0.136 0.330
Al 0.864 0.864 0.670
Ni 0.140 0.642 0.322
Ni 0.247 0.247 0.002
Ni 0.247 0.753 0.000
Ni 0.358 0.860 0.678
Ni 0.642 0.140 0.322
Ni 0.753 0.247 0.000
Ni 0.753 0.753 0.998
Ni 0.860 0.358 0.678
Pt 0.357 0.357 0.663
Pt 0.643 0.643 0.337

***

Structure and simulated X-ray powder pattern of BaTm3Ga4O12 (DFT lattice parameters and positions (PBE); Cu Ka).

Principal peaks in the range 10° ≤ 2θ ≤ 90°, most intense first:
2θ (°)  I/Imax
28.2  100
31.1  36
26.0  32
34.2  30
20.9  24
48.1  22
52.3  17
53.9  16
57.7  15
82.6  15

Crystal structure
a b c (Å): 7.188 7.188 7.188
angles (deg): 106.51 106.51 106.51
Fractional positions:
Ba 0.000 0.000 0.000
Tm 0.000 0.554 0.446
Tm 0.446 0.000 0.554
Tm 0.554 0.446 0.000
Ga 0.056 0.500 0.944
Ga 0.500 0.500 0.500
Ga 0.500 0.944 0.056
Ga 0.944 0.056 0.500
O 0.039 0.644 0.777
O 0.101 0.899 0.500
O 0.223 0.356 0.961
O 0.344 0.656 0.500
O 0.356 0.961 0.223
O 0.500 0.101 0.899
O 0.500 0.344 0.656
O 0.644 0.777 0.039
O 0.656 0.500 0.344
O 0.777 0.039 0.644
O 0.899 0.500 0.101
O 0.960 0.223 0.356

***

Structure and simulated X-ray powder pattern of RbMgNpS4 (DFT lattice parameters and positions (PBE); Cu Ka).

Principal peaks in the range 10° ≤ 2θ ≤ 90°, most intense first:
2θ (°)  I/Imax
10.5  100
20.1  68
22.4  45
33.1  42
26.0  38
13.2  35
26.3  30
34.9  29
29.8  26
33.7  26

Crystal structure
a b c (Å): 6.828 6.865 8.567
angles (deg): 90.00 100.11 90.00
Fractional positions:
Rb 0.168 0.250 0.071
Rb 0.832 0.750 0.929
Mg 0.377 0.250 0.660
Mg 0.623 0.750 0.340
Np 0.163 0.750 0.457
Np 0.837 0.250 0.543
S 0.119 0.002 0.689
S 0.119 0.498 0.689
S 0.290 0.750 0.188
S 0.478 0.250 0.404
S 0.522 0.750 0.596
S 0.710 0.250 0.812
S 0.881 0.502 0.311
S 0.881 0.998 0.311

***

Structure and simulated X-ray powder pattern of UBMo (DFT lattice parameters and positions (PBE); Cu Ka).

Principal peaks in the range 10° ≤ 2θ ≤ 90°, most intense first:
2θ (°)  I/Imax
35.4  100
38.6  69
32.5  52
56.8  36
44.7  28
69.6  28
36.8  26
47.0  17
68.7  15
18.2  14

Crystal structure
a b c (Å): 9.950 9.950 9.950
angles (deg): 18.76 18.76 18.76
Fractional positions:
U 0.199 0.199 0.199
U 0.801 0.801 0.801
B 0.076 0.076 0.076
B 0.924 0.924 0.924
Mo 0.372 0.372 0.372
Mo 0.628 0.628 0.628

***

Structure and simulated X-ray powder pattern of Ac3Mg6Ag5 (DFT lattice parameters and positions (PBE); Cu Ka).

Principal peaks in the range 10° ≤ 2θ ≤ 90°, most intense first:
2θ (°)  I/Imax
31.6  100
26.7  37
38.4  25
16.7  25
32.6  18
30.2  16
31.5  13
65.2  13
25.1  12
20.5  12

Crystal structure
a b c (Å): 4.691 14.269 10.636
angles (deg): 90.00 90.00 90.00
Fractional positions:
Ac 0.250 0.051 0.243
Ac 0.250 0.449 0.243
Ac 0.250 0.750 0.277
Ac 0.750 0.250 0.723
Ac 0.750 0.551 0.757
Ac 0.750 0.949 0.757
Mg 0.250 0.070 0.577
Mg 0.250 0.250 0.034
Mg 0.250 0.250 0.422
Mg 0.250 0.430 0.577
Mg 0.250 0.602 0.988
Mg 0.250 0.898 0.988
Mg 0.750 0.102 0.012
Mg 0.750 0.398 0.012
Mg 0.750 0.570 0.423
Mg 0.750 0.750 0.578
Mg 0.750 0.750 0.966
Mg 0.750 0.930 0.423
Ag 0.250 0.098 0.857
Ag 0.250 0.402 0.857
Ag 0.250 0.635 0.555
Ag 0.250 0.750 0.790
Ag 0.250 0.865 0.555
Ag 0.750 0.135 0.445
Ag 0.750 0.250 0.210
Ag 0.750 0.365 0.445
Ag 0.750 0.598 0.143
Ag 0.750 0.902 0.143

***

Which formula does entry 1 have?
AcTbY2S6